Calculated XRD peak list
Compound: MnGa
Radiation: Cu Ka
Structure: DFT lattice parameters and positions (PBE)

Top 6 peaks for 2θ = 15–90°, sorted by position:
| index | 2θ/deg | d (Å) | I (rel.) |
| --- | --- | --- | --- |
| 1 0 0 | 37.81 | 2.379 | 22 |
| 0 0 2 | 43.95 | 2.060 | 100 |
| 1 0 2 | 59.35 | 1.557 | 11 |
| 1 1 0 | 68.28 | 1.374 | 14 |
| 1 0 3 | 80.82 | 1.189 | 15 |
| 1 1 2 | 84.84 | 1.143 | 25 |

Structural model:
Cell: 2.7474 2.7474 4.1188 Å, 90.00 90.00 120.00°
Fractional coordinates of all 2 atoms:
Mn 0.0000 0.0000 0.0000
Ga 0.3333 0.6667 0.5000

***

Calculated XRD peak list
Compound: Sm2O3
Radiation: Cu Ka
Structure: DFT lattice parameters and positions (PBE)

Top 6 peaks for 2θ = 15–90°, sorted by position:
| index | 2θ/deg | d (Å) | I (rel.) |
| --- | --- | --- | --- |
| 1 0 0 | 27.12 | 3.288 | 28 |
| 0 0 2 | 29.72 | 3.006 | 28 |
| 0 1 1 | 31.00 | 2.885 | 100 |
| 1 1 0 | 47.92 | 1.898 | 31 |
| 1 0 3 | 53.56 | 1.711 | 28 |
| 1 1 2 | 57.42 | 1.605 | 27 |

Structural model:
Cell: 3.7964 3.7964 6.0111 Å, 90.00 90.00 120.00°
Fractional coordinates of all 5 atoms:
Sm 0.3333 0.6667 0.2493
Sm 0.6667 0.3333 0.7507
O 0.0000 0.0000 0.0000
O 0.3333 0.6667 0.6450
O 0.6667 0.3333 0.3550